No. 1
Theoretical X-ray diffraction stick pattern of Sm2ErS3 for a wavelength of 1.5418 Å, from a crystal structure in OQMD, relaxed with PBE.

The 10 most intense peaks (10° ≤ 2θ ≤ 90°), in order of rising 2θ:
| index | d/Å | I/Imax |
| --- | --- | --- |
| 0 0 3 | 3.250 | 20 |
| 1 0 1 | 3.223 | 60 |
| 0 1 2 | 2.797 | 100 |
| 1 0 4 | 1.984 | 36 |
| 1 1 0 | 1.972 | 36 |
| 1 1 3 | 1.686 | 20 |
| 2 0 2 | 1.612 | 19 |
| 1 1 6 | 1.254 | 16 |
| 1 2 2 | 1.248 | 16 |
| 2 1 4 | 1.141 | 12 |

Cell and atoms:
```
data_Sm2ErS3
_cell_length_a 3.9438
_cell_length_b 3.9438
_cell_length_c 9.7491
_cell_angle_alpha 90.00
_cell_angle_beta 90.00
_cell_angle_gamma 120.00
_symmetry_space_group_name_H-M 'P -3 m 1'
_symmetry_Int_Tables_number 164
_symmetry_space_group_name_Hall '-P 3 2"'
loop_
_atom_site_label
_atom_site_fract_x
_atom_site_fract_y
_atom_site_fract_z
_atom_site_occupancy
Sm1 0.3333 0.6667 0.1695 1
Er1 0.0000 0.0000 0.5000 1
S1 0.0000 0.0000 0.0000 1
S2 0.3333 0.6667 0.6556 1
```

***

No. 2
Theoretical X-ray diffraction stick pattern of ErTlS for a wavelength of 1.5418 Å, from a crystal structure in OQMD, relaxed with PBE.

The 10 most intense peaks (10° ≤ 2θ ≤ 90°), in order of rising 2θ:
| index | d/Å | I/Imax |
| --- | --- | --- |
| 1 0 1 | 3.957 | 9 |
| 1 1 1 | 3.134 | 100 |
| 0 0 2 | 3.103 | 20 |
| 1 0 2 | 2.656 | 25 |
| 2 0 0 | 2.568 | 47 |
| 2 0 2 | 1.978 | 23 |
| 2 1 2 | 1.846 | 17 |
| 2 2 0 | 1.816 | 17 |
| 3 1 1 | 1.571 | 27 |
| 2 2 2 | 1.567 | 11 |

Cell and atoms:
```
data_ErTlS
_cell_length_a 5.1353
_cell_length_b 5.1353
_cell_length_c 6.2069
_cell_angle_alpha 90.00
_cell_angle_beta 90.00
_cell_angle_gamma 90.00
_symmetry_space_group_name_H-M 'P 4/n m m'
_symmetry_Int_Tables_number 129
loop_
_symmetry_equiv_pos_as_xyz
'x,y,z'
'-x,-y,-z'
'-y+1/2,x,z'
'y+1/2,-x,-z'
'-x+1/2,-y+1/2,z'
'x+1/2,y+1/2,-z'
'y,-x+1/2,z'
'-y,x+1/2,-z'
'x+1/2,-y,-z'
'-x+1/2,y,z'
'-y,-x,-z'
'y,x,z'
'-x,y+1/2,-z'
'x,-y+1/2,z'
'y+1/2,x+1/2,-z'
'-y+1/2,-x+1/2,z'
loop_
_atom_site_label
_atom_site_fract_x
_atom_site_fract_y
_atom_site_fract_z
_atom_site_occupancy
Er1 0.2500 0.7500 0.0000 1
Tl1 0.2500 0.2500 0.4227 1
S1 0.2500 0.2500 0.8911 1
```

***

No. 3
Theoretical X-ray diffraction stick pattern of Er2ZnS4 for a wavelength of 1.5418 Å, from a crystal structure in OQMD, relaxed with PBE.

The 10 most intense peaks (10° ≤ 2θ ≤ 90°), in order of rising 2θ:
| index | d/Å | I/Imax |
| --- | --- | --- |
| 1 0 1 | 5.703 | 36 |
| 1 1 1 | 4.607 | 78 |
| 3 0 1 | 3.646 | 56 |
| 2 2 0 | 3.378 | 49 |
| 3 1 1 | 3.304 | 82 |
| 1 2 1 | 3.225 | 91 |
| 2 2 2 | 2.304 | 100 |
| 4 0 2 | 2.296 | 42 |
| 0 4 0 | 1.955 | 29 |
| 6 2 0 | 1.940 | 50 |

Cell and atoms:
```
data_Er2ZnS4
_cell_length_a 13.4094
_cell_length_b 7.8200
_cell_length_c 6.3009
_cell_angle_alpha 90.00
_cell_angle_beta 90.00
_cell_angle_gamma 90.00
_symmetry_space_group_name_H-M 'P n m a'
_symmetry_Int_Tables_number 62
_symmetry_space_group_name_Hall '-P 2ac 2n'
loop_
_atom_site_label
_atom_site_fract_x
_atom_site_fract_y
_atom_site_fract_z
_atom_site_occupancy
Er1 0.0000 0.0000 0.0000 1
Er2 0.2347 0.2500 0.4968 1
Zn1 0.0920 0.7500 0.4112 1
S1 0.0706 0.2500 0.7447 1
S2 0.0902 0.7500 0.7760 1
S3 0.1685 0.5122 0.2434 1
```